The following is a simulated X-ray diffraction stick pattern of LuScFeRu. It was derived from the PBE geometry in Alexandria, using Cu Ka.
Kinematic intensities with the Lorentz-polarization factor, no thermal factor.

Top 6 peaks for 10 to 80 degrees two-theta, low angle first:
- 2θ = 23.7°, rel. 31, hkl 1 1 1
- 2θ = 39.2°, rel. 100, hkl 2 2 0
- 2θ = 46.3°, rel. 16, hkl 3 1 1
- 2θ = 56.6°, rel. 17, hkl 4 0 0
- 2θ = 62.2°, rel. 7, hkl 3 3 1
- 2θ = 71.0°, rel. 33, hkl 4 2 2

Structure:
a b c (Å): 6.5037 6.5037 6.5037
angles (deg): 90.00 90.00 90.00
Space group F-43m (No. 216)
Asymmetric unit:
Lu 0.0000 0.0000 0.0000 [4 per cell]
Sc 0.0000 0.0000 0.5000 [4 per cell]
Fe 0.2500 0.2500 0.7500 [4 per cell]
Ru 0.2500 0.2500 0.2500 [4 per cell]